Record 1
Structure and simulated PXRD pattern of Ag2Bi2Pd7 (a crystal structure in Alexandria, relaxed with GGA-PBE; Cu Kα (λ = 1.5418 Å)).

```
data_Ag2Bi2Pd7
_symmetry_space_group_name_H-M 'C 1 2/m 1'
_symmetry_Int_Tables_number 12
_symmetry_space_group_name_Hall '-C 2y'
_cell_length_a 7.9190
_cell_length_b 7.8642
_cell_length_c 7.3793
_cell_angle_alpha 90.00
_cell_angle_beta 90.01
_cell_angle_gamma 90.00
loop_
_atom_site_label
_atom_site_type_symbol
_atom_site_fract_x
_atom_site_fract_y
_atom_site_fract_z
Ag1 Ag 0.1694 0.0000 0.0003
Bi1 Bi 0.0000 0.3034 0.5000
Pd1 Pd 0.9999 0.0000 0.3158
Pd2 Pd 0.0000 0.5000 0.0000
Pd3 Pd 0.2499 0.2503 0.2427
```

Most intense lines, 2θ = 10–80°, low angle first:
25.5°, d = 3.489 Å, I 57
25.7°, d = 3.470 Å, I 61
33.2°, d = 2.699 Å, I 49
36.1°, d = 2.489 Å, I 27
38.2°, d = 2.358 Å, I 27
40.5°, d = 2.225 Å, I 100
43.4°, d = 2.085 Å, I 43
43.7°, d = 2.071 Å, I 36
49.4°, d = 1.845 Å, I 37
50.6°, d = 1.804 Å, I 37

***

Record 2
Structure and simulated PXRD pattern of AgBi12Pd6 (a crystal structure in Alexandria, relaxed with GGA-PBE; Cu Kα (λ = 1.5418 Å)).

```
data_AgBi12Pd6
_symmetry_space_group_name_H-M 'R -3'
_symmetry_Int_Tables_number 148
_symmetry_space_group_name_Hall '-R 3'
_cell_length_a 12.8311
_cell_length_b 12.8311
_cell_length_c 11.2898
_cell_angle_alpha 90.00
_cell_angle_beta 90.00
_cell_angle_gamma 120.00
loop_
_atom_site_label
_atom_site_type_symbol
_atom_site_fract_x
_atom_site_fract_y
_atom_site_fract_z
Ag1 Ag 0.0000 0.0000 0.0000
Bi1 Bi 0.0393 0.2200 0.3983
Bi2 Bi 0.0459 0.2318 0.9022
Pd1 Pd 0.0469 0.2541 0.6542
```

Most intense lines, 2θ = 10–80°, low angle first:
22.6°, d = 3.936 Å, I 19
26.5°, d = 3.370 Å, I 74
33.1°, d = 2.705 Å, I 15
37.1°, d = 2.425 Å, I 100
38.4°, d = 2.343 Å, I 82
46.1°, d = 1.968 Å, I 18
54.5°, d = 1.685 Å, I 31
60.6°, d = 1.528 Å, I 14
66.8°, d = 1.400 Å, I 17
67.7°, d = 1.384 Å, I 27

***

Record 3
Structure and simulated PXRD pattern of AgBiPd (a crystal structure in Alexandria, relaxed with GGA-PBE; Cu Kα (λ = 1.5418 Å)).

```
data_AgBiPd
_symmetry_space_group_name_H-M 'P 42/m m c'
_symmetry_Int_Tables_number 131
_symmetry_space_group_name_Hall '-P 4c 2'
_cell_length_a 4.5977
_cell_length_b 4.5977
_cell_length_c 6.5519
_cell_angle_alpha 90.00
_cell_angle_beta 90.00
_cell_angle_gamma 90.00
loop_
_atom_site_label
_atom_site_type_symbol
_atom_site_fract_x
_atom_site_fract_y
_atom_site_fract_z
Ag1 Ag 0.0000 0.5000 0.0000
Bi1 Bi 0.0000 0.5000 0.5000
Pd1 Pd 0.0000 0.0000 0.2500
```

Most intense lines, 2θ = 10–80°, low angle first:
19.3°, d = 4.598 Å, I 20
23.6°, d = 3.763 Å, I 17
27.2°, d = 3.276 Å, I 16
27.4°, d = 3.251 Å, I 30
39.0°, d = 2.308 Å, I 100
39.2°, d = 2.299 Å, I 49
48.4°, d = 1.882 Å, I 13
56.6°, d = 1.626 Å, I 17
70.6°, d = 1.334 Å, I 17
70.9°, d = 1.329 Å, I 34